Computed powder diffraction line list
Compound: Zn4As2O9
Radiation: Cu Ka
Structure: the PBE geometry in Alexandria

Atomic structure:
Cell lengths 9.9233, 8.3776, 10.6033 Å; angles 90.00, 120.93, 90.00 degrees
Fractional positions:
Zn 0.0170 0.1925 0.0062
Zn 0.0170 0.3075 0.5062
Zn 0.2921 0.7444 0.9549
Zn 0.2921 0.7556 0.4549
Zn 0.3478 0.1814 0.5226
Zn 0.3478 0.3186 0.0226
Zn 0.3998 0.0198 0.8460
Zn 0.3998 0.4802 0.3460
Zn 0.6002 0.5198 0.6540
Zn 0.6002 0.9802 0.1540
Zn 0.6522 0.6814 0.9774
Zn 0.6522 0.8186 0.4774
Zn 0.7079 0.2444 0.5451
Zn 0.7079 0.2556 0.0451
Zn 0.9830 0.6925 0.4938
Zn 0.9830 0.8075 0.9938
As 0.9997 0.0160 0.2860
As 0.9997 0.4840 0.7860
As 0.0003 0.5160 0.2140
As 0.0003 0.9840 0.7140
As 0.3394 0.5083 0.7322
As 0.3394 0.9917 0.2322
As 0.6606 0.0083 0.7678
As 0.6606 0.4917 0.2678
O 0.0231 0.0005 0.1365
O 0.0231 0.4995 0.6365
O 0.0538 0.6594 0.8843
O 0.0538 0.8406 0.3843
O 0.1068 0.1686 0.4072
O 0.1068 0.3314 0.9072
O 0.1933 0.5728 0.2836
O 0.1933 0.9272 0.7836
O 0.2561 0.6676 0.6140
O 0.2561 0.8324 0.1140
O 0.2768 0.1756 0.1512
O 0.2768 0.3244 0.6512
O 0.3243 0.5258 0.8868
O 0.3243 0.9742 0.3868
O 0.4564 0.0204 0.6946
O 0.4564 0.4796 0.1946
O 0.4957 0.1732 0.0084
O 0.4957 0.3268 0.5084
O 0.5043 0.6732 0.4916
O 0.5043 0.8268 0.9916
O 0.5436 0.5204 0.8054
O 0.5436 0.9796 0.3054
O 0.6757 0.0258 0.6132
O 0.6757 0.4742 0.1132
O 0.7232 0.6756 0.3488
O 0.7232 0.8244 0.8488
O 0.7439 0.1676 0.8860
O 0.7439 0.3324 0.3860
O 0.8067 0.0728 0.2164
O 0.8067 0.4272 0.7164
O 0.8932 0.6686 0.0928
O 0.8932 0.8314 0.5928
O 0.9462 0.1594 0.6157
O 0.9462 0.3406 0.1157
O 0.9769 0.9995 0.8635
O 0.9769 0.5005 0.3635

Peak list (10 most intense, 2θ from 5° to 70°, in order of rising 2θ)
index	d [Å]	two_theta	intensity
2 1 -3	3.185	28.01	33
0 2 2	3.081	28.98	100
3 0 0	2.837	31.53	41
3 2 -2	2.583	34.73	43
3 0 -4	2.514	35.72	14
1 1 3	2.379	37.81	11
0 0 4	2.271	39.68	14
2 3 -5	1.683	54.51	19
6 0 -4	1.640	56.06	13
1 3 5	1.399	66.87	15


Computed powder diffraction line list
Compound: Zn3As2O6
Radiation: Cu Ka
Structure: the PBE geometry in Alexandria

Atomic structure:
Cell lengths 6.2990, 14.5337, 7.9827 Å; angles 90.00, 90.00, 90.00 degrees
Fractional positions:
Zn 0.0000 0.0000 0.1857
Zn 0.0000 0.0000 0.8143
Zn 0.0623 0.2237 0.2846
Zn 0.0623 0.2237 0.7154
Zn 0.4377 0.7237 0.2846
Zn 0.4377 0.7237 0.7154
Zn 0.5000 0.5000 0.1857
Zn 0.5000 0.5000 0.8143
Zn 0.5623 0.2763 0.2846
Zn 0.5623 0.2763 0.7154
Zn 0.9377 0.7763 0.2846
Zn 0.9377 0.7763 0.7154
As 0.0951 0.6263 0.0000
As 0.2292 0.4037 0.5000
As 0.2708 0.9037 0.5000
As 0.4049 0.1263 0.0000
As 0.5951 0.8737 0.0000
As 0.7292 0.0963 0.5000
As 0.7708 0.5963 0.5000
As 0.9049 0.3737 0.0000
O 0.0873 0.8953 0.3258
O 0.0873 0.8953 0.6742
O 0.1550 0.2836 0.5000
O 0.1603 0.7002 0.1759
O 0.1603 0.7002 0.8241
O 0.1658 0.0588 0.0000
O 0.3342 0.5588 0.0000
O 0.3397 0.2002 0.1759
O 0.3397 0.2002 0.8241
O 0.3450 0.7836 0.5000
O 0.4127 0.3953 0.3258
O 0.4127 0.3953 0.6742
O 0.5873 0.6047 0.3258
O 0.5873 0.6047 0.6742
O 0.6550 0.2164 0.5000
O 0.6603 0.7998 0.1759
O 0.6603 0.7998 0.8241
O 0.6659 0.4412 0.0000
O 0.8342 0.9412 0.0000
O 0.8397 0.2998 0.1759
O 0.8397 0.2998 0.8241
O 0.8450 0.7164 0.5000
O 0.9127 0.1047 0.3258
O 0.9127 0.1047 0.6742

Peak list (10 most intense, 2θ from 5° to 70°, in order of rising 2θ)
index	d [Å]	two_theta	intensity
1 1 0	5.780	15.33	23
1 2 1	4.088	21.74	100
1 3 1	3.461	25.74	29
1 1 2	3.284	27.15	44
0 4 2	2.687	33.35	55
1 5 0	2.640	33.96	33
2 0 2	2.472	36.34	26
0 6 1	2.321	38.80	21
3 6 2	1.474	63.05	19
1 9 2	1.457	63.90	23


Computed powder diffraction line list
Compound: ZrAs2O10
Radiation: Cu Ka
Structure: the PBE geometry in Alexandria

Atomic structure:
Cell lengths 5.5454, 6.9972, 10.8037 Å; angles 90.00, 99.29, 90.00 degrees
Fractional positions:
Zr 0.1841 0.0000 0.3427
Zr 0.8159 0.5000 0.6573
As 0.2602 0.5092 0.4334
As 0.3562 0.6358 0.8477
As 0.6438 0.1358 0.1523
As 0.7398 0.0092 0.5666
O 0.0435 0.4404 0.1446
O 0.0795 0.5208 0.8313
O 0.0986 0.5119 0.5550
O 0.1031 0.2147 0.0154
O 0.1884 0.3104 0.3419
O 0.1893 0.7058 0.3415
O 0.3194 0.8792 0.8123
O 0.4345 0.0092 0.5086
O 0.4569 0.0124 0.2328
O 0.4993 0.1862 0.0003
O 0.5007 0.6862 0.9997
O 0.5431 0.5124 0.7672
O 0.5655 0.5092 0.4914
O 0.6806 0.3792 0.1877
O 0.8107 0.2058 0.6585
O 0.8116 0.8104 0.6581
O 0.8969 0.7147 0.9846
O 0.9014 0.0119 0.4450
O 0.9205 0.0208 0.1687
O 0.9565 0.9404 0.8554

Peak list (10 most intense, 2θ from 5° to 70°, in order of rising 2θ)
index	d [Å]	two_theta	intensity
0 0 1	10.662	8.29	63
0 1 1	5.850	15.15	100
1 0 -2	4.170	21.31	95
1 0 2	3.543	25.13	55
0 2 0	3.499	25.46	47
0 2 1	3.324	26.82	50
1 1 2	3.162	28.22	42
1 1 -3	2.931	30.50	23
2 0 -1	2.760	32.44	37
1 1 3	2.585	34.70	29